(1)
The following is a simulated PXRD pattern of Th4Ge2S. It was derived from a PBE-relaxed structure, using a wavelength of 1.5418 Å.
Kinematic intensities with the Lorentz-polarization factor, no thermal factor.

Structure:
Unit cell a=8.9255 b=8.9255 c=9.1297 alpha=90.00 beta=90.00 gamma=90.00
Space group I-42d (No. 122)
Inequivalent atoms, fractional coordinates:
Th1 0.0704 0.6916 0.4415 x16
Ge1 0.1169 0.7500 0.1250 x8
S1 0.0000 0.0000 0.5000 x4

Most intense lines, 2θ from 15° to 90°, by intensity:
d [Å], Position (°2θ), I_rel, h k l
2.825, 31.67, 1000, 3 1 0
2.880, 31.05, 470, 1 0 3
2.420, 37.15, 441, 2 1 3
3.657, 24.34, 306, 2 1 1
1.752, 52.22, 294, 4 3 1
3.191, 27.96, 250, 2 0 2
2.401, 37.46, 249, 3 1 2
2.389, 37.65, 232, 3 2 1
1.829, 49.87, 221, 4 2 2
1.764, 51.83, 198, 4 1 3

(2)
The following is a simulated PXRD pattern of Ti3GeS3. It was derived from a PBE-relaxed structure, using a wavelength of 1.5418 Å.
Kinematic intensities with the Lorentz-polarization factor, no thermal factor.

Structure:
Unit cell a=6.0915 b=6.0915 c=28.4738 alpha=90.00 beta=90.00 gamma=120.00
Space group R-3 (No. 148, hexagonal axes)
Inequivalent atoms, fractional coordinates:
Ti1 0.0000 0.3721 0.0598 x18
Ge1 0.0000 0.0000 0.3333 x6
S1 0.0000 0.3100 0.8968 x18

Most intense lines, 2θ from 15° to 90°, by intensity:
d [Å], Position (°2θ), I_rel, h k l
2.563, 35.01, 1000, 2 -1 6
1.872, 48.64, 368, 1 1 12
1.758, 52.00, 267, 3 0 0
4.746, 18.70, 172, 0 0 6
5.187, 17.09, 154, 1 0 1
2.900, 30.83, 150, 2 -1 3
4.947, 17.93, 144, 0 1 2
2.194, 41.14, 136, 2 -1 9
1.450, 64.23, 122, 2 2 6
1.176, 81.92, 93, 3 0 18

(3)
The following is a simulated PXRD pattern of TiTl2GeS4. It was derived from a PBE-relaxed structure, using a wavelength of 1.5418 Å.
Kinematic intensities with the Lorentz-polarization factor, no thermal factor.

Structure:
Unit cell a=6.5873 b=13.3532 c=21.6997 alpha=90.00 beta=90.00 gamma=90.00
Space group Fddd (No. 70, origin choice 2)
Inequivalent atoms, fractional coordinates:
Ti1 0.1250 0.1250 0.1250 x8
Tl1 0.1250 0.1250 0.3008 x16
Ge1 0.1250 0.1250 0.6250 x8
S1 0.0926 0.2822 0.4322 x32

Most intense lines, 2θ from 15° to 90°, by intensity:
d [Å], Position (°2θ), I_rel, h k l
3.286, 27.14, 1000, 1 3 3
4.575, 19.40, 874, 1 1 3
3.180, 28.06, 695, 0 2 6
2.954, 30.26, 583, 2 2 0
2.435, 36.91, 491, 2 0 6
2.810, 31.84, 344, 1 3 5
1.967, 46.14, 339, 2 4 6
5.698, 15.55, 329, 1 1 1
3.338, 26.70, 326, 0 4 0
1.844, 49.42, 265, 2 6 0

(4)
The following is a simulated PXRD pattern of Tl7GeS6. It was derived from a PBE-relaxed structure, using a wavelength of 1.5418 Å.
Kinematic intensities with the Lorentz-polarization factor, no thermal factor.

Structure:
Unit cell a=7.6050 b=13.3498 c=16.9427 alpha=90.00 beta=90.00 gamma=90.00
Space group Ibam (No. 72)
Inequivalent atoms, fractional coordinates:
Tl1 0.0000 0.0000 0.2500 x4
Tl2 0.1929 0.2983 0.1172 x16
Tl3 0.2383 0.4763 0.5000 x8
Ge1 0.0000 0.5000 0.2500 x4
S1 0.0016 0.1761 0.0000 x8
S2 0.1737 0.4047 0.3264 x16

Most intense lines, 2θ from 15° to 90°, by intensity:
d [Å], Position (°2θ), I_rel, h k l
3.576, 24.90, 1000, 0 2 4
3.008, 29.70, 421, 1 4 1
3.077, 29.02, 334, 2 2 2
2.147, 42.09, 201, 2 2 6
2.605, 34.43, 201, 2 2 4
3.469, 25.68, 187, 2 0 2
2.808, 31.87, 180, 1 2 5
2.405, 37.39, 171, 2 4 2
3.802, 23.39, 167, 2 0 0
2.488, 36.11, 159, 3 1 0

(5)
The following is a simulated PXRD pattern of Tl4GeS4. It was derived from a PBE-relaxed structure, using a wavelength of 1.5418 Å.
Kinematic intensities with the Lorentz-polarization factor, no thermal factor.

Structure:
Unit cell a=13.0255 b=11.6165 c=7.7759 alpha=90.00 beta=113.34 gamma=90.00
Space group Cc (No. 9)
Inequivalent atoms, fractional coordinates:
Tl1 0.0000 0.0020 0.0000 x4
Tl2 0.1771 0.3912 0.5685 x4
Tl3 0.3309 0.1368 0.4929 x4
Tl4 0.3927 0.2243 0.0248 x4
Ge1 0.1159 0.2889 0.0450 x4
S1 0.0115 0.4293 0.8576 x4
S2 0.0317 0.2198 0.2250 x4
S3 0.1452 0.1463 0.8759 x4
S4 0.2815 0.3617 0.2354 x4

Most intense lines, 2θ from 15° to 90°, by intensity:
d [Å], Position (°2θ), I_rel, h k l
3.570, 24.94, 1000, 0 0 2
3.771, 23.59, 875, 3 1 0
3.277, 27.21, 800, 3 1 -2
2.615, 34.29, 728, 2 4 0
3.122, 28.59, 668, 1 3 1
2.736, 32.73, 647, 1 3 -2
3.684, 24.16, 617, 1 3 0
2.840, 31.50, 350, 4 2 -1
2.658, 33.72, 339, 4 2 0
2.914, 30.68, 326, 3 1 1

(6)
The following is a simulated PXRD pattern of Tl2GeS8. It was derived from a PBE-relaxed structure, using a wavelength of 1.5418 Å.
Kinematic intensities with the Lorentz-polarization factor, no thermal factor.

Structure:
Unit cell a=4.3421 b=6.0376 c=12.0699 alpha=85.34 beta=83.65 gamma=75.47
Space group P-1 (No. 2)
Inequivalent atoms, fractional coordinates:
Tl1 0.1164 0.2577 0.1184 x2
Ge1 0.5000 0.0000 0.5000 x1
S1 0.3307 0.6343 0.5316 x2
S2 0.3670 0.2957 0.7645 x2
S3 0.3766 0.9791 0.7107 x2
S4 0.4163 0.7280 0.0934 x2

Most intense lines, 2θ from 15° to 90°, by intensity:
d [Å], Position (°2θ), I_rel, h k l
3.836, 23.19, 1000, 1 1 1
2.997, 29.81, 719, 1 -1 1
3.992, 22.27, 511, 0 0 3
5.365, 16.52, 473, 0 1 1
4.069, 21.84, 469, 0 1 -2
4.301, 20.65, 436, 0 1 2
3.879, 22.93, 376, 1 1 0
3.591, 24.79, 366, 1 0 2
2.872, 31.14, 353, 0 2 1
3.086, 28.93, 346, 1 1 -2

(7)
The following is a simulated PXRD pattern of Tl5GeS4. It was derived from a PBE-relaxed structure, using a wavelength of 1.5418 Å.
Kinematic intensities with the Lorentz-polarization factor, no thermal factor.

Structure:
Unit cell a=8.8809 b=10.0064 c=7.0035 alpha=90.00 beta=90.00 gamma=90.00
Space group Pmmn (No. 59, origin choice 2)
Inequivalent atoms, fractional coordinates:
Tl1 0.0357 0.0705 0.2207 x8
Tl2 0.2500 0.2500 0.5875 x2
Ge1 0.2500 0.7500 0.3625 x2
S1 0.0402 0.7500 0.1825 x4
S2 0.2500 0.5657 0.5544 x4

Most intense lines, 2θ from 15° to 90°, by intensity:
d [Å], Position (°2θ), I_rel, h k l
3.011, 29.67, 1000, 0 3 1
3.508, 25.39, 778, 0 0 2
2.750, 32.56, 547, 2 0 2
3.321, 26.84, 490, 2 2 0
1.756, 52.07, 383, 2 3 3
2.492, 36.04, 367, 2 3 1
3.750, 23.73, 338, 2 0 1
2.727, 32.85, 276, 3 0 1
2.122, 42.61, 254, 2 3 2
4.440, 20.00, 241, 2 0 0

(8)
The following is a simulated PXRD pattern of U3Tl3GeS8. It was derived from a PBE-relaxed structure, using a wavelength of 1.5418 Å.
Kinematic intensities with the Lorentz-polarization factor, no thermal factor.

Structure:
Unit cell a=8.0295 b=8.0295 c=22.5246 alpha=90.00 beta=90.00 gamma=120.00
Space group R-3m (No. 166, hexagonal axes)
Inequivalent atoms, fractional coordinates:
U1 0.0000 0.5000 0.0000 x9
Tl1 0.0000 0.5000 0.5000 x9
Ge1 0.0000 0.0000 0.0000 x3
S1 0.0000 0.0000 0.2677 x6
S2 0.0028 0.5014 0.2704 x18

Most intense lines, 2θ from 15° to 90°, by intensity:
d [Å], Position (°2θ), I_rel, h k l
2.958, 30.21, 1000, 0 2 4
3.322, 26.84, 622, 2 0 2
2.188, 41.26, 384, 2 0 8
2.007, 45.17, 343, 2 2 0
3.754, 23.70, 313, 0 0 6
1.770, 51.63, 252, 2 2 6
1.661, 55.30, 182, 4 0 4
1.890, 48.13, 181, 0 2 10
1.371, 68.42, 162, 2 2 12
1.280, 74.08, 157, 2 4 4